Entry 1:
ReI2O2: computed X-ray diffraction stick pattern (Cu Kα), based on a structure optimized by DFT (PBE).
Intensities are scaled so that the largest is 100.

Structural model:
Unit cell a=8.7059 b=8.7059 c=7.5644 alpha=102.50 beta=102.50 gamma=25.10
Positions (direct):
Re 0.0023 0.9977 0.5000
Re 0.9977 0.0023 0.0000
I 0.1608 0.1669 0.0788
I 0.1669 0.1608 0.5788
I 0.8333 0.8390 0.9157
I 0.8390 0.8333 0.4157
O 0.0004 0.9996 0.2499
O 0.9996 0.0004 0.7499
O 0.4981 0.5019 0.0013
O 0.5019 0.4981 0.5013

Main lines, sorted by position (15 to 90 degrees two-theta):
2θ = 24.1°, rel. 100; 2θ = 32.4°, rel. 26; 2θ = 33.5°, rel. 35; 2θ = 36.0°, rel. 30; 2θ = 47.3°, rel. 27; 2θ = 54.5°, rel. 22

Entry 2:
Sm3IO4: computed X-ray diffraction stick pattern (Cu Kα), based on a structure optimized by DFT (PBE).
Intensities are scaled so that the largest is 100.

Structural model:
Unit cell a=4.0101 b=4.0101 c=9.4074 alpha=90.00 beta=90.00 gamma=90.00
Positions (direct):
Sm 0.0000 0.0000 0.0000
Sm 0.5000 0.5000 0.2543
Sm 0.5000 0.5000 0.7457
I 0.0000 0.0000 0.5000
O 0.0000 0.5000 0.1512
O 0.0000 0.5000 0.8488
O 0.5000 0.0000 0.1512
O 0.5000 0.0000 0.8488

Main lines, sorted by position (15 to 90 degrees two-theta):
2θ = 29.3°, rel. 100; 2θ = 31.6°, rel. 32; 2θ = 45.2°, rel. 19; 2θ = 50.4°, rel. 26; 2θ = 54.8°, rel. 34; 2θ = 60.7°, rel. 11

Entry 3:
ZnI2O6: computed X-ray diffraction stick pattern (Cu Kα), based on a structure optimized by DFT (PBE).
Intensities are scaled so that the largest is 100.

Structural model:
Unit cell a=10.8241 b=4.9871 c=10.8894 alpha=90.00 beta=119.68 gamma=90.00
Positions (direct):
Zn 0.2380 0.0000 0.4932
Zn 0.2618 0.5046 0.0059
Zn 0.7382 0.0046 0.9941
Zn 0.7620 0.5000 0.5068
I 0.0840 0.0701 0.6831
I 0.0845 0.0613 0.1526
I 0.4157 0.5582 0.3472
I 0.4162 0.5697 0.8164
I 0.5843 0.0582 0.6528
I 0.5838 0.0697 0.1836
I 0.9155 0.5613 0.8474
I 0.9160 0.5701 0.3169
O 0.0663 0.7773 0.3359
O 0.0815 0.7312 0.8803
O 0.1016 0.2157 0.5367
O 0.1149 0.2826 0.0338
O 0.2008 0.2408 0.3195
O 0.2299 0.2599 0.8285
O 0.2700 0.7575 0.6706
O 0.3004 0.7437 0.1821
O 0.3859 0.7734 0.4684
O 0.3978 0.7172 0.9619
O 0.4177 0.2272 0.6185
O 0.4338 0.2797 0.1632
O 0.5662 0.7797 0.8368
O 0.5823 0.7272 0.3815
O 0.6022 0.2172 0.0381
O 0.6141 0.2734 0.5316
O 0.6996 0.2437 0.8179
O 0.7300 0.2575 0.3294
O 0.7701 0.7599 0.1715
O 0.7992 0.7408 0.6805
O 0.8851 0.7826 0.9662
O 0.8984 0.7157 0.4633
O 0.9185 0.2312 0.1197
O 0.9337 0.2773 0.6641

Main lines, sorted by position (15 to 90 degrees two-theta):
2θ = 26.0°, rel. 100; 2θ = 26.1°, rel. 47; 2θ = 32.9°, rel. 37; 2θ = 33.1°, rel. 19; 2θ = 42.5°, rel. 18; 2θ = 49.6°, rel. 34

Entry 4:
ZrI3O: computed X-ray diffraction stick pattern (Cu Kα), based on a structure optimized by DFT (PBE).
Intensities are scaled so that the largest is 100.

Structural model:
Unit cell a=7.0408 b=7.0408 c=7.4113 alpha=90.00 beta=90.00 gamma=120.00
Positions (direct):
Zr 0.3333 0.6667 0.0000
Zr 0.6667 0.3333 0.0000
I 0.0000 0.3425 0.2346
I 0.0000 0.6575 0.7654
I 0.3425 0.0000 0.2346
I 0.3425 0.3425 0.7654
I 0.6575 0.0000 0.7654
I 0.6575 0.6575 0.2346
O 0.0000 0.0000 0.2411
O 0.0000 0.0000 0.7589

Main lines, sorted by position (15 to 90 degrees two-theta):
2θ = 24.0°, rel. 19; 2θ = 28.1°, rel. 100; 2θ = 35.2°, rel. 36; 2θ = 44.6°, rel. 29; 2θ = 44.8°, rel. 29; 2θ = 53.5°, rel. 16

Entry 5:
OsI4: computed X-ray diffraction stick pattern (Cu Kα), based on a structure optimized by DFT (PBE).
Intensities are scaled so that the largest is 100.

Structural model:
Unit cell a=8.1543 b=8.1543 c=12.5489 alpha=107.83 beta=107.83 gamma=90.38
Positions (direct):
Os 0.0600 0.8058 0.8757
Os 0.1942 0.9400 0.6243
Os 0.8058 0.0600 0.3757
Os 0.9400 0.1942 0.1243
I 0.0444 0.2824 0.3605
I 0.0511 0.8314 0.3873
I 0.1686 0.9489 0.1127
I 0.1759 0.4254 0.1350
I 0.2824 0.0444 0.8605
I 0.3032 0.5943 0.8904
I 0.4057 0.6968 0.6096
I 0.4254 0.1759 0.6350
I 0.5746 0.8241 0.3650
I 0.5943 0.3032 0.3904
I 0.6968 0.4057 0.1096
I 0.7176 0.9556 0.1395
I 0.8241 0.5746 0.8650
I 0.8314 0.0511 0.8873
I 0.9489 0.1686 0.6127
I 0.9556 0.7176 0.6395

Main lines, sorted by position (15 to 90 degrees two-theta):
2θ = 17.2°, rel. 73; 2θ = 30.9°, rel. 97; 2θ = 31.1°, rel. 100; 2θ = 31.7°, rel. 93; 2θ = 44.4°, rel. 69; 2θ = 44.8°, rel. 73

Entry 6:
PrOsI: computed X-ray diffraction stick pattern (Cu Kα), based on a structure optimized by DFT (PBE).
Intensities are scaled so that the largest is 100.

Structural model:
Unit cell a=12.7536 b=12.7536 c=12.7536 alpha=19.31 beta=19.31 gamma=19.31
Positions (direct):
Pr 0.0552 0.0552 0.0552
Pr 0.9448 0.9448 0.9448
Os 0.3357 0.3357 0.3357
Os 0.6643 0.6643 0.6643
I 0.2201 0.2201 0.2201
I 0.7799 0.7799 0.7799

Main lines, sorted by position (15 to 90 degrees two-theta):
2θ = 29.3°, rel. 100; 2θ = 30.7°, rel. 30; 2θ = 34.0°, rel. 27; 2θ = 35.8°, rel. 42; 2θ = 42.2°, rel. 67; 2θ = 62.2°, rel. 41

Entry 7:
TeOsI3: computed X-ray diffraction stick pattern (Cu Kα), based on a structure optimized by DFT (PBE).
Intensities are scaled so that the largest is 100.

Structural model:
Unit cell a=7.2047 b=7.4800 c=13.3860 alpha=90.00 beta=98.91 gamma=90.00
Positions (direct):
Te 0.1814 0.1160 0.2935
Te 0.1814 0.8840 0.7935
Te 0.8186 0.1160 0.2065
Te 0.8186 0.8840 0.7065
Os 0.0441 0.3580 0.1457
Os 0.0441 0.6420 0.6457
Os 0.9559 0.3580 0.3543
Os 0.9559 0.6420 0.8543
I 0.1387 0.3098 0.5424
I 0.1387 0.6902 0.0424
I 0.2525 0.4396 0.8023
I 0.2525 0.5604 0.3023
I 0.3410 0.2055 0.0683
I 0.3410 0.7945 0.5683
I 0.6590 0.2055 0.4317
I 0.6590 0.7945 0.9317
I 0.7475 0.4396 0.6977
I 0.7475 0.5604 0.1977
I 0.8613 0.3098 0.9576
I 0.8613 0.6902 0.4576

Main lines, sorted by position (15 to 90 degrees two-theta):
2θ = 27.6°, rel. 64; 2θ = 31.6°, rel. 75; 2θ = 32.6°, rel. 90; 2θ = 36.2°, rel. 66; 2θ = 40.0°, rel. 69; 2θ = 42.1°, rel. 100

Entry 8:
Y4OsI4: computed X-ray diffraction stick pattern (Cu Kα), based on a structure optimized by DFT (PBE).
Intensities are scaled so that the largest is 100.

Structural model:
Unit cell a=9.7162 b=9.7162 c=6.5700 alpha=91.24 beta=91.24 gamma=89.37
Positions (direct):
Y 0.0886 0.2310 0.0120
Y 0.0904 0.7676 0.5048
Y 0.2310 0.0886 0.5120
Y 0.2324 0.9096 0.9952
Y 0.7676 0.0904 0.0048
Y 0.7690 0.9114 0.4880
Y 0.9096 0.2324 0.4952
Y 0.9114 0.7690 0.9880
Os 0.0022 0.9978 0.2500
Os 0.9978 0.0022 0.7500
I 0.1840 0.5928 0.9360
I 0.1878 0.4020 0.4284
I 0.4020 0.1878 0.9284
I 0.4072 0.8160 0.5640
I 0.5928 0.1840 0.4360
I 0.5980 0.8122 0.0716
I 0.8122 0.5980 0.5716
I 0.8160 0.4072 0.0640

Main lines, sorted by position (15 to 90 degrees two-theta):
2θ = 27.2°, rel. 49; 2θ = 31.7°, rel. 88; 2θ = 32.1°, rel. 81; 2θ = 32.4°, rel. 100; 2θ = 32.6°, rel. 46; 2θ = 36.3°, rel. 49